This entry pairs a crystal structure of Ho3ErTm5 with its calculated powder X-ray diffraction pattern. Radiation: CuKα. Structure: a crystal structure in Alexandria, relaxed with GGA-PBE.
Intensities are scaled so that the largest is 100.

Most intense lines, 2θ = 5–70°, in order of rising 2θ:
hkl, 2theta, intensity
0 1 3, 30.0, 62
2 3 1, 31.2, 100
0 6 0, 31.4, 60
2 2 2, 33.6, 80
0 5 3, 39.8, 34
2 3 5, 59.3, 34

Structural model:
Cell lengths 7.1434, 17.0821, 9.0892 Å; angles 90.00, 90.00, 90.00 degrees
Space group Imma (No. 74)
One atom of each set of equivalent atoms:
Ho 0.0000 0.0607 0.2492 (multiplicity 8)
Ho 0.2500 0.2500 0.2500 (multiplicity 4)
Er 0.0000 0.2500 0.9103 (multiplicity 4)
Tm 0.0000 0.2500 0.5521 (multiplicity 4)
Tm 0.2484 0.0885 0.5674 (multiplicity 16)